(1)
# V2TcBr
Calculated powder XRD pattern, Cu Kα X-rays. Input: the GGA-PBE geometry in Alexandria.
Peak positions follow from Bragg's law for the DFT cell and can differ from measured ones.

Cell and atoms:
```
4
Lattice="0.000 3.118 3.118 3.118 0.000 3.118 3.118 3.118 0.000" Properties=species:S:1:pos:R:3 pbc="T T T"
V 1.559 1.559 1.559
V 4.677 4.677 4.677
Tc 0.000 0.000 0.000
Br 3.118 3.118 3.118
```

The 7 most intense peaks (2θ from 5° to 70°), by angle:
| 2θ/deg | intensity |
| --- | --- |
| 24.7 | 1 |
| 28.6 | 11 |
| 40.9 | 100 |
| 48.4 | 1 |
| 50.7 | 3 |
| 59.3 | 16 |
| 67.1 | 4 |

(2)
# YHoErMg
Calculated powder XRD pattern, Cu Kα X-rays. Input: the GGA-PBE geometry in Alexandria.
Peak positions follow from Bragg's law for the DFT cell and can differ from measured ones.

Cell and atoms:
```
4
Lattice="3.570 0.000 0.000 0.000 3.570 0.000 0.000 0.000 9.227" Properties=species:S:1:pos:R:3 pbc="T T T"
Y 0.000 0.000 0.000
Ho 0.000 0.000 4.855
Er 1.785 1.785 2.453
Mg 1.785 1.785 7.028
```

The 10 most intense peaks (2θ from 5° to 70°), by angle:
| 2θ/deg | intensity |
| --- | --- |
| 9.6 | 37 |
| 26.8 | 24 |
| 31.7 | 100 |
| 35.6 | 37 |
| 39.0 | 14 |
| 46.5 | 8 |
| 51.2 | 13 |
| 53.8 | 21 |
| 61.5 | 30 |
| 66.2 | 22 |

(3)
# Be9V2Ni
Calculated powder XRD pattern, Cu Kα X-rays. Input: the GGA-PBE geometry in Alexandria.
Peak positions follow from Bragg's law for the DFT cell and can differ from measured ones.

Cell and atoms:
```
12
Lattice="2.147 1.239 6.882 -2.147 1.239 6.882 0.000 -2.479 6.882" Properties=species:S:1:pos:R:3 pbc="T T T"
Be 0.000 0.000 0.000
Be 0.000 -1.230 5.178
Be -1.065 0.615 5.178
Be 0.000 0.000 3.412
Be -1.065 -0.615 15.468
Be 1.065 0.615 5.178
Be 0.000 0.000 17.234
Be 1.065 -0.615 15.468
Be 0.000 1.230 15.468
V 0.000 0.000 7.275
V 0.000 0.000 13.372
Ni 0.000 0.000 10.323
```

The 10 most intense peaks (2θ from 5° to 70°), by angle:
| 2θ/deg | intensity |
| --- | --- |
| 24.3 | 100 |
| 25.9 | 42 |
| 32.4 | 15 |
| 39.0 | 71 |
| 42.1 | 64 |
| 42.6 | 27 |
| 49.2 | 28 |
| 50.1 | 73 |
| 58.7 | 11 |
| 68.4 | 10 |

(4)
# HoTm3Pt2
Calculated powder XRD pattern, Cu Kα X-rays. Input: the GGA-PBE geometry in Alexandria.
Peak positions follow from Bragg's law for the DFT cell and can differ from measured ones.

Cell and atoms:
```
12
Lattice="4.727 0.000 0.000 0.000 8.687 0.000 0.000 0.000 7.075" Properties=species:S:1:pos:R:3 pbc="T T T"
Ho 0.000 0.713 0.000
Ho 0.000 7.973 3.538
Tm 0.000 2.866 4.481
Tm 0.000 5.821 0.943
Tm 2.363 1.491 2.446
Tm 2.363 3.630 6.926
Tm 2.363 5.057 3.389
Tm 2.363 7.196 5.983
Pt 0.000 3.002 1.639
Pt 0.000 5.685 5.177
Pt 2.363 1.356 5.286
Pt 2.363 7.331 1.748
```

The 10 most intense peaks (2θ from 5° to 70°), by angle:
| 2θ/deg | intensity |
| --- | --- |
| 30.7 | 83 |
| 31.6 | 33 |
| 32.6 | 23 |
| 33.3 | 100 |
| 33.4 | 21 |
| 36.4 | 70 |
| 38.1 | 67 |
| 43.7 | 25 |
| 44.2 | 26 |
| 44.8 | 30 |

(5)
# Nd2AsP3Ir4
Calculated powder XRD pattern, Cu Kα X-rays. Input: the GGA-PBE geometry in Alexandria.
Peak positions follow from Bragg's law for the DFT cell and can differ from measured ones.

Cell and atoms:
```
10
Lattice="4.191 0.000 0.000 0.000 4.191 0.000 0.000 0.000 9.830" Properties=species:S:1:pos:R:3 pbc="T T T"
Nd 0.000 2.095 2.440
Nd 2.095 0.000 7.390
As 2.095 2.095 0.000
P 0.000 0.000 0.000
P 0.000 2.095 6.266
P 2.095 0.000 3.564
Ir 0.000 0.000 4.915
Ir 0.000 2.095 8.613
Ir 2.095 0.000 1.217
Ir 2.095 2.095 4.915
```

The 10 most intense peaks (2θ from 5° to 70°), by angle:
| 2θ/deg | intensity |
| --- | --- |
| 28.0 | 29 |
| 31.5 | 56 |
| 34.8 | 61 |
| 35.4 | 100 |
| 43.2 | 70 |
| 48.1 | 28 |
| 51.3 | 21 |
| 56.6 | 30 |
| 62.7 | 23 |
| 65.1 | 24 |

(6)
# ScFeRh2
Calculated powder XRD pattern, Cu Kα X-rays. Input: the GGA-PBE geometry in Alexandria.
Peak positions follow from Bragg's law for the DFT cell and can differ from measured ones.

Cell and atoms:
```
4
Lattice="-1.586 2.117 4.534 1.586 -2.117 4.534 1.586 2.117 -4.534" Properties=species:S:1:pos:R:3 pbc="T T T"
Sc 0.000 0.000 0.000
Fe 1.586 0.000 2.321
Rh 0.000 0.000 4.425
Rh 0.000 2.117 2.265
```

The 10 most intense peaks (2θ from 5° to 70°), by angle:
| 2θ/deg | intensity |
| --- | --- |
| 23.2 | 12 |
| 29.8 | 8 |
| 36.5 | 5 |
| 39.8 | 26 |
| 40.7 | 100 |
| 41.3 | 2 |
| 42.7 | 22 |
| 53.0 | 3 |
| 58.2 | 8 |
| 59.8 | 15 |

(7)
# Li2Pd4Pt
Calculated powder XRD pattern, Cu Kα X-rays. Input: the GGA-PBE geometry in Alexandria.
Peak positions follow from Bragg's law for the DFT cell and can differ from measured ones.

Cell and atoms:
```
14
Lattice="7.856 0.000 0.000 0.000 9.036 0.000 0.000 0.000 2.851" Properties=species:S:1:pos:R:3 pbc="T T T"
Li 0.046 2.251 0.000
Li 3.882 6.769 0.000
Li 3.974 2.267 0.000
Li 7.810 6.785 0.000
Pd 1.475 4.537 0.000
Pd 1.919 6.803 1.425
Pd 2.009 2.285 1.425
Pd 2.453 0.019 0.000
Pd 5.403 9.017 0.000
Pd 5.847 6.750 1.425
Pd 5.937 2.232 1.425
Pd 6.381 4.499 0.000
Pt 0.000 0.000 1.425
Pt 3.928 4.518 1.425
```

The 10 most intense peaks (2θ from 5° to 70°), by angle:
| 2θ/deg | intensity |
| --- | --- |
| 14.9 | 26 |
| 19.6 | 20 |
| 30.1 | 26 |
| 34.9 | 44 |
| 35.7 | 42 |
| 39.9 | 41 |
| 44.1 | 100 |
| 45.3 | 21 |
| 45.9 | 21 |
| 69.0 | 14 |

(8)
# Na8Tl3In
Calculated powder XRD pattern, Cu Kα X-rays. Input: the GGA-PBE geometry in Alexandria.
Peak positions follow from Bragg's law for the DFT cell and can differ from measured ones.

Cell and atoms:
```
12
Lattice="0.000 5.820 9.472 3.297 0.000 9.472 3.297 5.820 0.000" Properties=species:S:1:pos:R:3 pbc="T T T"
Na 4.950 5.820 6.456
Na 3.297 2.903 7.770
Na 3.297 2.903 11.174
Na 4.950 5.820 12.488
Na 1.645 5.820 6.456
Na 3.297 8.737 7.770
Na 3.297 8.737 11.174
Na 1.645 5.820 12.488
Tl 1.649 2.910 4.736
Tl 3.297 5.820 9.472
Tl 4.946 8.730 14.208
In 0.000 0.000 0.000
```

The 10 most intense peaks (2θ from 5° to 70°), by angle:
| 2θ/deg | intensity |
| --- | --- |
| 17.9 | 100 |
| 18.7 | 39 |
| 28.7 | 52 |
| 30.7 | 29 |
| 31.2 | 18 |
| 32.3 | 50 |
| 36.6 | 61 |
| 42.5 | 37 |
| 49.9 | 20 |
| 58.5 | 16 |

(9)
# PmNpSnAu
Calculated powder XRD pattern, Cu Kα X-rays. Input: the GGA-PBE geometry in Alexandria.
Peak positions follow from Bragg's law for the DFT cell and can differ from measured ones.

Cell and atoms:
```
4
Lattice="0.000 3.704 3.704 3.704 0.000 3.704 3.704 3.704 0.000" Properties=species:S:1:pos:R:3 pbc="T T T"
Pm 0.000 0.000 0.000
Np 1.852 1.852 1.852
Sn 3.704 3.704 3.704
Au 5.556 5.556 5.556
```

The 7 most intense peaks (2θ from 5° to 70°), by angle:
| 2θ/deg | intensity |
| --- | --- |
| 20.8 | 1 |
| 24.0 | 6 |
| 34.2 | 100 |
| 42.3 | 2 |
| 49.2 | 18 |
| 55.5 | 3 |
| 61.3 | 38 |

(10)
# Mg2MnIn2
Calculated powder XRD pattern, Cu Kα X-rays. Input: the GGA-PBE geometry in Alexandria.
Peak positions follow from Bragg's law for the DFT cell and can differ from measured ones.

Cell and atoms:
```
10
Lattice="7.234 0.000 0.000 0.000 7.234 0.000 0.000 0.000 4.355" Properties=species:S:1:pos:R:3 pbc="T T T"
Mg 1.186 2.431 0.000
Mg 2.431 6.049 0.000
Mg 4.803 1.186 0.000
Mg 6.049 4.803 0.000
Mn 0.000 0.000 2.178
Mn 3.617 3.617 2.178
In 1.045 4.662 2.178
In 2.572 1.045 2.178
In 4.662 6.189 2.178
In 6.189 2.572 2.178
```

The 10 most intense peaks (2θ from 5° to 70°), by angle:
| 2θ/deg | intensity |
| --- | --- |
| 20.4 | 57 |
| 27.6 | 37 |
| 34.5 | 100 |
| 39.4 | 33 |
| 41.5 | 18 |
| 44.7 | 26 |
| 50.1 | 6 |
| 50.5 | 19 |
| 56.5 | 7 |
| 58.5 | 20 |

(11)
# Tm7CuI12
Calculated powder XRD pattern, Cu Kα X-rays. Input: the GGA-PBE geometry in Alexandria.
Peak positions follow from Bragg's law for the DFT cell and can differ from measured ones.

Cell and atoms:
```
20
Lattice="7.744 4.471 3.479 -7.744 4.471 3.479 0.000 -8.942 3.479" Properties=species:S:1:pos:R:3 pbc="T T T"
Tm 0.000 0.000 0.000
Tm -1.546 -1.507 3.692
Tm -0.532 2.093 3.692
Tm 2.078 -0.585 3.692
Tm -2.078 0.585 6.745
Tm 0.532 -2.093 6.745
Tm 1.546 1.507 6.745
Cu 0.000 0.000 5.219
I -2.435 0.698 1.667
I 0.613 -2.458 1.667
I -4.218 -1.102 5.149
I -1.155 -4.203 5.289
I 1.822 1.760 1.667
I -3.063 3.102 5.289
I 3.063 -3.102 5.149
I -1.822 -1.760 8.770
I 1.155 4.203 5.149
I 4.218 1.102 5.289
I -0.613 2.458 8.770
I 2.435 -0.698 8.770
```

The 10 most intense peaks (2θ from 5° to 70°), by angle:
| 2θ/deg | intensity |
| --- | --- |
| 11.4 | 27 |
| 25.4 | 10 |
| 28.1 | 11 |
| 29.5 | 100 |
| 42.1 | 35 |
| 42.3 | 35 |
| 52.2 | 17 |
| 61.2 | 11 |
| 69.2 | 12 |
| 69.5 | 13 |

(12)
# Ti6RePd2
Calculated powder XRD pattern, Cu Kα X-rays. Input: the GGA-PBE geometry in Alexandria.
Peak positions follow from Bragg's law for the DFT cell and can differ from measured ones.

Cell and atoms:
```
9
Lattice="-2.175 3.053 6.417 2.175 -3.053 6.417 2.175 3.053 -6.417" Properties=species:S:1:pos:R:3 pbc="T T T"
Ti 2.175 1.505 -2.088
Ti 0.000 1.479 0.000
Ti 2.175 1.505 2.088
Ti 0.000 1.548 4.328
Ti 0.000 4.627 0.000
Ti 0.000 1.548 8.505
Re 2.175 0.000 0.000
Pd 2.175 0.000 4.259
Pd 0.000 3.053 2.157
```

The 10 most intense peaks (2θ from 5° to 70°), by angle:
| 2θ/deg | intensity |
| --- | --- |
| 25.1 | 68 |
| 25.4 | 66 |
| 41.5 | 26 |
| 41.9 | 100 |
| 42.3 | 24 |
| 49.3 | 22 |
| 49.4 | 11 |
| 49.6 | 11 |
| 49.8 | 21 |
| 60.7 | 24 |